1.
Simulated PXRD pattern of LiPm2Tl4 for Cu Kα X-rays, from DFT lattice parameters and positions (PBE).

Atomic structure:
```
data_LiPm2Tl4
_chemical_formula_sum 'Li1 Pm2 Tl4'
_cell_length_a 5.2258
_cell_length_b 5.2258
_cell_length_c 7.4749
_cell_angle_alpha 90.00
_cell_angle_beta 90.00
_cell_angle_gamma 90.00
_symmetry_space_group_name_H-M 'P 1'
_symmetry_Int_Tables_number 1
_symmetry_space_group_name_Hall 'P 1'
loop_
_atom_site_label
_atom_site_type_symbol
_atom_site_fract_x
_atom_site_fract_y
_atom_site_fract_z
Li1 Li 0.0000 0.0000 0.0000
Pm1 Pm 0.0000 0.0000 0.5000
Pm2 Pm 0.5000 0.5000 0.0000
Tl1 Tl 0.0000 0.5000 0.2509
Tl2 Tl 0.0000 0.5000 0.7491
Tl3 Tl 0.5000 0.0000 0.2509
Tl4 Tl 0.5000 0.0000 0.7491
```

Largest 12 diffraction maxima, in order of falling intensity, 15 to 90 degrees two-theta:
Position (°2θ)	d (Å)	I_rel
34.1	2.628	100
34.3	2.613	49
61.3	1.511	38
24.1	3.695	25
20.7	4.283	24
61.0	1.520	19
49.3	1.848	18
23.8	3.737	13
71.9	1.314	12
42.2	2.141	12
48.7	1.869	9
40.4	2.231	9

2.
Simulated PXRD pattern of Gd2C for Cu Kα X-rays, from DFT lattice parameters and positions (PBE).

Atomic structure:
```
data_Gd2C
_chemical_formula_sum 'Gd6 C3'
_cell_length_a 3.6435
_cell_length_b 3.6435
_cell_length_c 18.6318
_cell_angle_alpha 90.00
_cell_angle_beta 90.00
_cell_angle_gamma 120.00
_symmetry_space_group_name_H-M 'P 1'
_symmetry_Int_Tables_number 1
_symmetry_space_group_name_Hall 'P 1'
loop_
_atom_site_label
_atom_site_type_symbol
_atom_site_fract_x
_atom_site_fract_y
_atom_site_fract_z
Gd1 Gd 0.0000 0.0000 0.2392
Gd2 Gd 0.0000 0.0000 0.7608
Gd3 Gd 0.3333 0.6667 0.4275
Gd4 Gd 0.3333 0.6667 0.9059
Gd5 Gd 0.6667 0.3333 0.0941
Gd6 Gd 0.6667 0.3333 0.5725
C1 C 0.0000 0.0000 0.5000
C2 C 0.3333 0.6667 0.1667
C3 C 0.6667 0.3333 0.8333
```

Largest 12 diffraction maxima, in order of falling intensity, 15 to 90 degrees two-theta:
Position (°2θ)	d (Å)	I_rel
29.9	2.989	100
34.3	2.612	76
28.7	3.105	32
50.1	1.822	28
58.8	1.571	26
48.6	1.874	23
62.1	1.494	20
83.7	1.155	15
59.4	1.556	15
81.3	1.183	12
72.4	1.306	12
57.4	1.604	10

Question: What is the formula in the first record?
Answer: LiPm2Tl4